# YBe2SiIr
Calculated powder X-ray diffraction pattern, copper Kα. Input: DFT lattice parameters and positions (PBE).

Main lines, sorted by position (2θ = 10–90°):
2theta  I/Imax
17.83  19
24.58  55
24.87  77
35.58  40
35.79  24
36.12  21
37.57  100
53.64  19
60.63  17
65.90  17

Crystal structure
Cell lengths 5.6747, 5.6747, 5.6747 Å; angles 140.47, 139.93, 57.55 degrees
Fractional coordinates of all 5 atoms:
Y1 0.0000 0.0000 0.0000
Be1 0.3799 0.3799 0.0000
Be2 0.7540 0.2540 0.5000
Si1 0.6193 0.6193 0.0000
Ir1 0.2569 0.7569 0.5000